For CsCeHgSe3, the GGA-PBE geometry in the Materials Project gives the calculated powder XRD pattern in this record (Cu Kα, 1.54184 Å).
Peak positions follow from Bragg's law for the DFT cell and can differ from measured ones.

Structural model:
Lattice parameters (Å, degrees): 8.412 8.412 11.445 90.00 90.00 149.21
Sites, in units of the cell vectors:
Cs (0.243, 0.757, 0.750)
Cs (0.757, 0.243, 0.250)
Ce (0.500, 0.500, 0.000)
Ce (0.500, 0.500, 0.500)
Hg (0.043, 0.957, 0.250)
Hg (0.957, 0.043, 0.750)
Se (0.121, 0.879, 0.047)
Se (0.121, 0.879, 0.453)
Se (0.439, 0.561, 0.250)
Se (0.561, 0.439, 0.750)
Se (0.879, 0.121, 0.547)
Se (0.879, 0.121, 0.953)

Most intense lines, 2θ = 10–90°, low angle first:
2θ = 10.91°, rel. 70; 2θ = 25.88°, rel. 29; 2θ = 27.03°, rel. 100; 2θ = 30.30°, rel. 44; 2θ = 31.27°, rel. 45; 2θ = 35.10°, rel. 23; 2θ = 37.71°, rel. 29; 2θ = 40.40°, rel. 25; 2θ = 47.71°, rel. 27; 2θ = 50.41°, rel. 22; 2θ = 51.95°, rel. 18; 2θ = 74.11°, rel. 17

For TePdI, the GGA-PBE geometry in the Materials Project gives the calculated powder XRD pattern in this record (Cu Kα, 1.54184 Å).
Peak positions follow from Bragg's law for the DFT cell and can differ from measured ones.

Structural model:
Lattice parameters (Å, degrees): 8.109 8.109 5.701 90.00 90.00 90.00
Sites, in units of the cell vectors:
Te (0.000, 0.210, 0.000)
Te (0.000, 0.790, 0.000)
Te (0.210, 0.000, 0.500)
Te (0.790, 0.000, 0.500)
Pd (0.000, 0.249, 0.500)
Pd (0.000, 0.751, 0.500)
Pd (0.249, 0.000, 0.000)
Pd (0.751, 0.000, 0.000)
I (0.232, 0.500, 0.500)
I (0.500, 0.232, 0.000)
I (0.500, 0.768, 0.000)
I (0.768, 0.500, 0.500)

Most intense lines, 2θ = 10–90°, low angle first:
2θ = 10.91°, rel. 60; 2θ = 19.03°, rel. 36; 2θ = 26.99°, rel. 44; 2θ = 31.20°, rel. 100; 2θ = 31.38°, rel. 55; 2θ = 43.24°, rel. 21; 2θ = 44.70°, rel. 33; 2θ = 44.84°, rel. 72; 2θ = 55.63°, rel. 34; 2θ = 74.02°, rel. 12; 2θ = 74.32°, rel. 16; 2θ = 82.49°, rel. 16